No. 1
Structure and computed powder diffractogram of Ce2ZrS3 (the GGA-PBE geometry in Alexandria; a wavelength of 1.5418 Å).
No peak broadening, texture or thermal motion is included.

Crystal structure
abc: 8.6781 8.6781 8.6781
angles: 153.87 153.87 37.29
Sites, in units of the cell vectors:
Ce 0.1653 0.1653 0.0000
Ce 0.8347 0.8347 0.0000
Zr 0.5000 0.5000 0.0000
S 0.0000 0.0000 0.0000
S 0.3389 0.3389 0.0000
S 0.6611 0.6611 0.0000

Peak list (10 most intense, 2θ from 10° to 90°, by angle)
| Position (°2θ) | I/Imax |
| --- | --- |
| 28.0 | 947 |
| 32.3 | 1000 |
| 32.7 | 479 |
| 46.3 | 354 |
| 46.6 | 690 |
| 54.9 | 306 |
| 57.8 | 357 |
| 76.8 | 154 |
| 77.1 | 152 |
| 86.0 | 234 |

No. 2
Structure and computed powder diffractogram of Ce3Sb2 (the GGA-PBE geometry in Alexandria; a wavelength of 1.5418 Å).
No peak broadening, texture or thermal motion is included.

Crystal structure
abc: 9.0992 9.0992 9.0992
angles: 141.02 141.02 56.31
Sites, in units of the cell vectors:
Ce 0.0000 0.0000 0.0000
Ce 0.0000 0.0000 0.5000
Ce 0.0000 0.5000 0.0000
Ce 0.3750 0.6250 0.7500
Ce 0.5000 0.0000 0.5000
Ce 0.6250 0.3750 0.2500
Sb 0.1775 0.4275 0.7500
Sb 0.4275 0.1775 0.2500
Sb 0.5725 0.8225 0.7500
Sb 0.8225 0.5725 0.2500

Peak list (10 most intense, 2θ from 10° to 90°, by angle)
| Position (°2θ) | I/Imax |
| --- | --- |
| 29.4 | 357 |
| 31.5 | 1000 |
| 33.5 | 600 |
| 37.1 | 282 |
| 48.1 | 299 |
| 53.5 | 152 |
| 54.8 | 150 |
| 61.0 | 149 |
| 70.3 | 204 |
| 85.5 | 136 |